Diffraction record for NaCrGaO4. The XRD peak list is theoretical, not measured: it uses a PBE+U-relaxed structure and CuKα.
No peak broadening, texture or thermal motion is included.

Structure:
```
NaCrGaO4
1.0
5.356 0.000 0.000
0.000 5.270 0.000
-2.675 0.000 6.546
Na Cr Ga O
2 2 2 8
Direct
0.095 0.250 0.149
0.905 0.750 0.851
0.310 0.750 0.459
0.690 0.250 0.541
0.246 0.250 0.679
0.754 0.750 0.321
0.004 0.250 0.805
0.051 0.750 0.576
0.493 0.509 0.328
0.493 0.991 0.328
0.507 0.009 0.672
0.507 0.491 0.672
0.949 0.250 0.424
0.996 0.750 0.195
```

Most intense lines, 2θ = 10–80°, low angle first:
- (0 0 1), 13.53°, I = 100
- (0 1 1), 21.65°, I = 35
- (1 1 -2), 31.43°, I = 23
- (0 1 2), 32.19°, I = 18
- (0 2 0), 34.02°, I = 25
- (2 1 -2), 40.21°, I = 19